Structure and calculated powder XRD pattern of Y4BiTe5 (a DFT-relaxed cell (GGA-PBE, Alexandria); Cu Kα, 1.54184 Å).
Peak positions follow from Bragg's law for the DFT cell and can differ from measured ones.

```
Y4BiTe5
1.0
9.5739 -2.1734 0.0000
9.5739 2.1734 0.0000
-2.2768 0.0000 8.6510
Y Bi Te
4 1 5
Cartesian
-0.5121 0.0000 2.2614
4.1973 0.0000 7.7806
12.6737 0.0000 0.8704
17.3831 0.0000 6.3896
9.5739 0.0000 0.0000
1.1871 0.0000 7.3090
2.4345 0.0000 2.8860
8.4355 0.0000 4.3255
14.4365 0.0000 5.7651
15.6839 0.0000 1.3420
```

The 6 most intense peaks (15° ≤ 2θ ≤ 90°), in order of rising 2θ:
2θ (°)  Rel. int.
25.1  21
28.6  100
28.9  48
40.8  39
41.5  54
51.4  19